Entry 1:
Simulated powder diffraction line list
Compound: ScIr2C
Radiation: Cu Kα
Structure: a structure optimized by DFT (PBE)
Lines closer than 0.1° are merged.

Structural model:
a b c (Å): 6.7904 6.7904 5.1456
angles (deg): 90.00 90.00 90.00
Space group I-42d (No. 122)
Symmetry-distinct sites (fractional):
Sc 0.0000 0.0000 0.0000 [4 per cell]
Ir 0.1238 0.2500 0.6250 [8 per cell]
C 0.0000 0.0000 0.5000 [4 per cell]

Principal peaks in the range 2θ = 15–90°, in order of rising 2θ:
hkl, 2θ (°), I/Imax
1 0 1, 21.67, 31.6
2 1 1, 34.29, 100.0
1 1 2, 39.75, 40.3
3 1 0, 42.08, 34.1
3 2 1, 51.69, 24.6
4 0 2, 65.92, 18.1


Entry 2:
Simulated powder diffraction line list
Compound: Ti8Ir2C3
Radiation: Cu Kα
Structure: a structure optimized by DFT (PBE)
Lines closer than 0.1° are merged.

Structural model:
a b c (Å): 11.9557 6.2454 5.6027
angles (deg): 90.00 108.67 90.00
Space group C2/m (No. 12)
Symmetry-distinct sites (fractional):
Ti 0.1013 0.0000 0.4034 [4 per cell]
Ti 0.1037 0.2299 0.8896 [8 per cell]
Ti 0.1167 0.5000 0.4870 [4 per cell]
Ir 0.2313 0.5000 0.1855 [4 per cell]
C 0.0000 0.0000 0.0000 [2 per cell]
C 0.0000 0.2480 0.5000 [4 per cell]

Principal peaks in the range 2θ = 15–90°, in order of rising 2θ:
hkl, 2θ (°), I/Imax
2 0 0, 15.65, 58.4
1 1 -1, 21.45, 100.0
1 1 1, 25.12, 85.4
3 1 -1, 28.12, 79.8
2 2 0, 32.75, 55.9
4 2 1, 50.39, 50.7


Entry 3:
Simulated powder diffraction line list
Compound: K3C
Radiation: Cu Kα
Structure: a structure optimized by DFT (PBE)
Lines closer than 0.1° are merged.

Structural model:
a b c (Å): 8.1695 21.8596 4.1233
angles (deg): 90.00 90.00 90.00
Space group Cmcm (No. 63)
Symmetry-distinct sites (fractional):
K 0.0000 0.2457 0.2500 [4 per cell]
K 0.2217 0.0950 0.2500 [8 per cell]
C 0.0000 0.1499 0.7500 [4 per cell]

Principal peaks in the range 2θ = 15–90°, in order of rising 2θ:
hkl, 2θ (°), I/Imax
0 2 1, 23.05, 61.7
2 2 0, 23.25, 70.1
0 6 0, 24.47, 100.0
0 4 1, 27.11, 46.1
2 4 0, 27.26, 66.2
2 2 1, 31.91, 70.6